Record 1
This entry pairs a crystal structure of BaLi2Ag8 with its theoretical X-ray diffraction stick pattern. Radiation: Cu Ka. Structure: DFT lattice parameters and positions (GGA-PBE).
Kinematic intensities with the Lorentz-polarization factor, no thermal factor.

Structural model:
```
BaLi2Ag8
1.0
5.478 0.000 0.000
0.000 5.478 0.000
0.000 0.000 9.654
Ba Li Ag
1 2 8
Cartesian
0.000 0.000 0.000
0.000 2.739 4.827
2.739 0.000 4.827
1.377 1.377 2.827
1.377 1.377 6.827
1.377 4.101 2.827
1.377 4.101 6.827
4.101 1.377 2.827
4.101 1.377 6.827
4.101 4.101 2.827
4.101 4.101 6.827
```

Main lines, most intense first (2θ from 10° to 90°):
two_theta	I_rel
37.8	100
18.4	74
32.7	51
27.7	41
46.9	34
58.5	31
55.4	22
43.4	22
34.0	21
81.0	20

Record 2
This entry pairs a crystal structure of CsI4O12 with its theoretical X-ray diffraction stick pattern. Radiation: Cu Ka. Structure: DFT lattice parameters and positions (GGA-PBE).
Kinematic intensities with the Lorentz-polarization factor, no thermal factor.

Structural model:
```
CsI4O12
1.0
-4.026 4.026 4.026
4.026 -4.026 4.026
4.026 4.026 -4.026
Cs I O
1 4 12
Cartesian
0.000 0.000 0.000
2.013 2.013 -2.013
2.013 -2.013 2.013
-2.013 2.013 2.013
2.013 2.013 2.013
4.026 2.181 -1.784
2.241 0.000 1.845
5.810 0.000 1.845
1.845 2.241 0.000
2.181 -1.784 4.026
4.026 2.181 1.784
0.000 1.845 2.241
1.845 5.810 0.000
2.181 1.784 4.026
-1.784 4.026 2.181
1.784 4.026 2.181
0.000 1.845 5.810
```

Main lines, most intense first (2θ from 10° to 90°):
two_theta	I_rel
31.4	100
22.1	75
55.9	43
45.0	36
50.7	29
15.6	27
65.6	21
74.5	18
27.1	16
70.1	13

Record 3
This entry pairs a crystal structure of SnPdF6 with its theoretical X-ray diffraction stick pattern. Radiation: Cu Ka. Structure: DFT lattice parameters and positions (GGA-PBE).
Kinematic intensities with the Lorentz-polarization factor, no thermal factor.

Structural model:
```
SnPdF6
1.0
5.205 0.000 0.000
-2.603 4.508 0.000
0.000 0.000 9.921
Sn Pd F
2 2 12
Cartesian
0.000 0.000 0.000
0.000 0.000 4.960
0.000 3.005 2.480
2.603 1.503 7.440
-0.803 1.430 1.167
-1.766 3.097 3.793
0.803 1.430 3.793
-0.963 4.489 1.167
1.640 0.019 6.127
0.837 1.411 8.753
1.766 3.097 1.167
0.963 4.489 3.793
3.565 0.019 8.753
1.799 3.078 6.127
4.369 1.411 6.127
3.406 3.078 8.753
```

Main lines, most intense first (2θ from 10° to 90°):
two_theta	I_rel
26.7	100
21.7	50
50.9	44
44.1	26
57.2	25
34.5	24
19.7	19
61.7	16
33.6	15
39.1	12